No. 1
The following is a calculated X-ray powder pattern of BaCaGa3. It was derived from a DFT-relaxed cell (PBE, Alexandria), using Cu Kα X-rays.

The 10 most intense peaks (2θ from 15° to 90°), in order of rising 2θ:
| 2θ/deg | I (rel.) |
| --- | --- |
| 24.84 | 37 |
| 28.57 | 42 |
| 29.08 | 90 |
| 29.88 | 100 |
| 32.36 | 63 |
| 39.68 | 53 |
| 41.50 | 47 |
| 42.61 | 73 |
| 51.47 | 35 |
| 59.63 | 52 |

Structure:
Lattice parameters (Å, degrees): 14.757 14.757 4.352 90.00 90.00 162.29
Fractional coordinates of all 10 atoms:
Ba  0.196  0.804  0.750
Ba  0.804  0.196  0.250
Ca  0.063  0.937  0.250
Ca  0.937  0.063  0.750
Ga  0.349  0.651  0.750
Ga  0.394  0.606  0.250
Ga  0.478  0.522  0.250
Ga  0.522  0.478  0.750
Ga  0.606  0.394  0.750
Ga  0.651  0.349  0.250

---

No. 2
The following is a calculated X-ray powder pattern of BaCa3Ga2. It was derived from a DFT-relaxed cell (PBE, Alexandria), using Cu Kα X-rays.

The 10 most intense peaks (2θ from 15° to 90°), in order of rising 2θ:
| 2θ/deg | I (rel.) |
| --- | --- |
| 23.28 | 21 |
| 24.74 | 48 |
| 28.64 | 21 |
| 30.98 | 100 |
| 37.19 | 16 |
| 45.18 | 19 |
| 47.63 | 39 |
| 50.74 | 19 |
| 64.56 | 18 |
| 72.11 | 14 |

Structure:
Lattice parameters (Å, degrees): 4.835 12.456 7.203 90.00 90.00 90.00
Fractional coordinates of all 12 atoms:
Ba  0.000  0.000  0.000
Ba  0.000  0.500  0.500
Ca  0.500  0.000  0.498
Ca  0.500  0.249  0.747
Ca  0.500  0.251  0.247
Ca  0.500  0.500  0.998
Ca  0.500  0.749  0.247
Ca  0.500  0.751  0.747
Ga  0.000  0.168  0.496
Ga  0.000  0.332  0.996
Ga  0.000  0.668  0.996
Ga  0.000  0.832  0.496

---

No. 3
The following is a calculated X-ray powder pattern of Ba2Ca12Ga7. It was derived from a DFT-relaxed cell (PBE, Alexandria), using Cu Kα X-rays.

The 10 most intense peaks (2θ from 15° to 90°), in order of rising 2θ:
| 2θ/deg | I (rel.) |
| --- | --- |
| 24.05 | 14 |
| 24.51 | 23 |
| 28.25 | 100 |
| 34.61 | 19 |
| 37.12 | 38 |
| 37.45 | 26 |
| 40.08 | 24 |
| 47.29 | 12 |
| 53.75 | 34 |
| 57.75 | 12 |

Structure:
Lattice parameters (Å, degrees): 12.817 12.817 4.802 90.00 90.00 120.00
Fractional coordinates of all 21 atoms:
Ba  0.000  0.000  0.000
Ba  0.333  0.667  0.500
Ca  0.052  0.274  0.500
Ca  0.102  0.703  0.000
Ca  0.222  0.948  0.500
Ca  0.297  0.399  0.000
Ca  0.390  0.178  0.000
Ca  0.544  0.434  0.500
Ca  0.566  0.110  0.500
Ca  0.601  0.898  0.000
Ca  0.726  0.778  0.500
Ca  0.789  0.610  0.000
Ca  0.822  0.211  0.000
Ca  0.890  0.456  0.500
Ga  0.076  0.448  0.000
Ga  0.259  0.215  0.500
Ga  0.372  0.924  0.000
Ga  0.552  0.628  0.000
Ga  0.667  0.333  0.000
Ga  0.785  0.044  0.500
Ga  0.956  0.741  0.500